(1)
This entry pairs a crystal structure of Sc6Te2Pd with its simulated powder diffractogram. Radiation: Cu Kα. Structure: a crystal structure in OQMD, relaxed with PBE.

Peak list (8 most intense, 2θ = 5–70°, low angle first)
two_theta  I_rel
24.12  39
33.31  100
35.52  55
36.39  50
36.93  39
39.37  51
42.13  38
47.77  44

Structural model:
```
Sc6Te2Pd
1.0
20.313 0.000 0.000
0.000 3.808 0.000
0.000 0.000 10.739
Sc Te Pd
24 8 4
Direct
0.006 0.250 0.111
0.026 0.750 0.380
0.109 0.250 0.810
0.137 0.750 0.058
0.158 0.250 0.530
0.232 0.750 0.737
0.268 0.250 0.237
0.342 0.750 0.030
0.363 0.250 0.558
0.391 0.750 0.310
0.474 0.250 0.880
0.494 0.750 0.611
0.506 0.250 0.389
0.526 0.750 0.120
0.609 0.250 0.690
0.637 0.750 0.442
0.658 0.250 0.970
0.732 0.750 0.763
0.768 0.250 0.263
0.842 0.750 0.470
0.863 0.250 0.942
0.891 0.750 0.190
0.974 0.250 0.620
0.994 0.750 0.889
0.125 0.250 0.266
0.235 0.250 0.954
0.265 0.750 0.454
0.375 0.750 0.766
0.625 0.250 0.234
0.735 0.250 0.546
0.765 0.750 0.046
0.875 0.750 0.734
0.076 0.750 0.635
0.424 0.250 0.135
0.576 0.750 0.865
0.924 0.250 0.365
```



(2)
This entry pairs a crystal structure of ScU2Pd2 with its simulated powder diffractogram. Radiation: Cu Kα. Structure: a crystal structure in OQMD, relaxed with PBE.

Peak list (8 most intense, 2θ = 5–70°, low angle first)
two_theta  I_rel
21.23  67
22.79  29
33.22  34
37.21  100
39.76  47
50.73  64
55.59  18
68.81  19

Structural model:
```
ScU2Pd2
1.0
4.832 0.000 0.000
-2.416 4.185 0.000
0.000 0.000 10.788
Sc U Pd
2 4 4
Direct
0.000 0.000 0.250
0.000 0.000 0.750
0.333 0.667 0.129
0.333 0.667 0.371
0.667 0.333 0.629
0.667 0.333 0.871
0.333 0.667 0.627
0.333 0.667 0.873
0.667 0.333 0.127
0.667 0.333 0.373
```



(3)
This entry pairs a crystal structure of Pd2Se3 with its simulated powder diffractogram. Radiation: Cu Kα. Structure: a crystal structure in OQMD, relaxed with PBE.

Peak list (8 most intense, 2θ = 5–70°, low angle first)
two_theta  I_rel
15.58  27
17.57  16
31.70  100
42.22  94
48.49  58
56.17  21
59.11  18
66.22  24

Structural model:
```
Pd2Se3
1.0
6.503 0.000 0.000
-3.252 5.632 0.000
0.000 0.000 11.372
Pd Se
8 12
Direct
0.000 0.000 0.000
0.000 0.000 0.500
0.333 0.667 0.007
0.333 0.667 0.493
0.333 0.667 0.750
0.667 0.333 0.250
0.667 0.333 0.507
0.667 0.333 0.993
0.003 0.333 0.880
0.003 0.671 0.620
0.329 0.333 0.620
0.329 0.997 0.880
0.333 0.003 0.380
0.333 0.329 0.120
0.667 0.671 0.880
0.667 0.997 0.620
0.671 0.003 0.120
0.671 0.667 0.380
0.997 0.329 0.380
0.997 0.667 0.120
```



(4)
This entry pairs a crystal structure of Pd2Se3 with its simulated powder diffractogram. Radiation: Cu Kα. Structure: a crystal structure in OQMD, relaxed with PBE.

Peak list (8 most intense, 2θ = 5–70°, low angle first)
two_theta  I_rel
19.54  28
26.90  63
27.76  44
32.34  100
41.18  47
42.55  49
43.15  43
52.32  34

Structural model:
```
Pd2Se3
1.0
5.703 -3.214 0.000
5.703 3.214 0.000
-4.300 0.000 5.663
Pd Se
4 6
Direct
0.059 0.941 0.500
0.419 0.785 0.273
0.785 0.419 0.773
0.941 0.059 0.000
0.159 0.234 0.442
0.234 0.159 0.942
0.412 0.515 0.428
0.515 0.412 0.928
0.774 0.852 0.072
0.852 0.774 0.572
```



(5)
This entry pairs a crystal structure of Pd2Se3 with its simulated powder diffractogram. Radiation: Cu Kα. Structure: a crystal structure in OQMD, relaxed with PBE.

Peak list (8 most intense, 2θ = 5–70°, low angle first)
two_theta  I_rel
13.46  100
21.93  32
29.19  39
33.14  34
35.72  37
40.98  58
44.73  37
51.25  22

Structural model:
```
Pd2Se3
1.0
3.061 -6.579 0.000
3.061 6.579 0.000
0.000 0.000 5.930
Pd Se
4 6
Direct
0.000 0.500 0.000
0.000 0.500 0.500
0.500 0.000 0.000
0.500 0.000 0.500
0.146 0.854 0.750
0.201 0.407 0.750
0.407 0.201 0.250
0.593 0.799 0.750
0.799 0.593 0.250
0.854 0.146 0.250
```



(6)
This entry pairs a crystal structure of Pd2Se3 with its simulated powder diffractogram. Radiation: Cu Kα. Structure: a crystal structure in OQMD, relaxed with PBE.

Peak list (8 most intense, 2θ = 5–70°, low angle first)
two_theta  I_rel
12.57  100
20.84  23
29.29  21
32.63  19
35.44  26
39.62  45
44.41  24
50.03  19

Structural model:
```
Pd2Se3
1.0
5.960 0.000 0.000
0.000 6.099 0.000
0.000 0.000 7.042
Pd Se
4 6
Direct
0.000 0.000 0.000
0.000 0.500 0.000
0.500 0.000 0.000
0.500 0.500 0.000
0.250 0.053 0.274
0.250 0.250 0.804
0.250 0.447 0.274
0.750 0.553 0.726
0.750 0.750 0.196
0.750 0.947 0.726
```



(7)
This entry pairs a crystal structure of Ta4Sn2PdSe12 with its simulated powder diffractogram. Radiation: Cu Kα. Structure: a crystal structure in OQMD, relaxed with PBE.

Peak list (8 most intense, 2θ = 5–70°, low angle first)
two_theta  I_rel
11.98  100
12.50  29
13.37  44
14.72  31
32.52  37
34.73  24
39.28  37
40.21  28

Structural model:
```
Ta4Sn2PdSe12
1.0
7.423 -1.802 0.000
7.423 1.802 0.000
-5.675 0.000 18.083
Ta Sn Pd Se
4 2 1 12
Direct
0.009 0.009 0.150
0.191 0.191 0.436
0.809 0.809 0.564
0.991 0.991 0.850
0.492 0.492 0.726
0.508 0.508 0.274
0.500 0.500 0.000
0.127 0.127 0.775
0.162 0.162 0.285
0.186 0.186 0.571
0.377 0.377 0.879
0.389 0.389 0.074
0.448 0.448 0.583
0.552 0.552 0.417
0.611 0.611 0.926
0.623 0.623 0.121
0.814 0.814 0.429
0.838 0.838 0.715
0.873 0.873 0.225
```